[1]
For Ce7SnSb3, DFT lattice parameters and positions (GGA-PBE) gives the computed powder XRD pattern in this record (Cu Ka).
Peak positions follow from Bragg's law for the DFT cell and can differ from measured ones.

Structure:
```
Ce7SnSb3
1.0
-3.0324 4.5756 6.0492
3.0324 -4.5756 6.0492
3.0324 4.5756 -6.0492
Ce Sn Sb
7 1 3
direct
0.0000 0.0000 0.0000
0.1123 0.7558 0.3565
0.3533 0.5000 0.8533
0.3993 0.7558 0.6435
0.6007 0.2442 0.3565
0.6467 0.5000 0.1467
0.8877 0.2442 0.6435
0.0000 0.5000 0.5000
0.2604 0.2604 0.0000
0.5000 0.0000 0.5000
0.7396 0.7396 0.0000
```

The 10 most intense peaks (2θ = 5–70°), low angle first:
- 2θ = 19.40°, rel. 11.8
- 2θ = 29.49°, rel. 100.0
- 2θ = 30.22°, rel. 7.2
- 2θ = 35.55°, rel. 10.1
- 2θ = 36.15°, rel. 67.4
- 2θ = 42.20°, rel. 40.2
- 2θ = 56.75°, rel. 35.5
- 2θ = 68.93°, rel. 11.5
- 2θ = 69.33°, rel. 8.7
- 2θ = 69.45°, rel. 9.4


[2]
For Ce3DyRu2, DFT lattice parameters and positions (GGA-PBE) gives the computed powder XRD pattern in this record (Cu Ka).
Peak positions follow from Bragg's law for the DFT cell and can differ from measured ones.

Structure:
```
Ce3DyRu2
1.0
6.5224 -4.5945 0.0000
6.5224 4.5945 0.0000
0.0000 0.0000 4.6726
Ce Dy Ru
6 2 4
direct
0.0758 0.9242 0.7500
0.0778 0.3461 0.2500
0.3461 0.0778 0.7500
0.6539 0.9222 0.2500
0.9222 0.6539 0.7500
0.9242 0.0758 0.2500
0.3574 0.6426 0.2500
0.6426 0.3574 0.7500
0.2376 0.4742 0.7500
0.4742 0.2376 0.2500
0.5258 0.7624 0.7500
0.7624 0.5258 0.2500
```

The 10 most intense peaks (2θ = 5–70°), low angle first:
- 2θ = 27.22°, rel. 39.9
- 2θ = 27.35°, rel. 13.0
- 2θ = 29.70°, rel. 58.9
- 2θ = 35.74°, rel. 23.0
- 2θ = 38.53°, rel. 42.4
- 2θ = 38.97°, rel. 100.0
- 2θ = 39.22°, rel. 29.0
- 2θ = 49.92°, rel. 10.9
- 2θ = 56.15°, rel. 20.3
- 2θ = 57.94°, rel. 39.8


[3]
For Ac3PrRh2, DFT lattice parameters and positions (GGA-PBE) gives the computed powder XRD pattern in this record (Cu Ka).
Peak positions follow from Bragg's law for the DFT cell and can differ from measured ones.

Structure:
```
Ac3PrRh2
1.0
9.0228 -2.1726 0.0000
9.0228 2.1726 0.0000
-7.6275 0.0000 10.8650
Ac Pr Rh
6 2 4
direct
0.0608 0.0608 0.1937
0.1854 0.1854 0.5599
0.3141 0.3141 0.9464
0.6859 0.6859 0.0536
0.8146 0.8146 0.4401
0.9392 0.9392 0.8063
0.4408 0.4408 0.3096
0.5592 0.5592 0.6904
0.1245 0.1245 0.8683
0.3748 0.3748 0.6228
0.6252 0.6252 0.3772
0.8755 0.8755 0.1317
```

The 10 most intense peaks (2θ = 5–70°), low angle first:
- 2θ = 13.60°, rel. 15.4
- 2θ = 25.36°, rel. 51.1
- 2θ = 27.39°, rel. 13.8
- 2θ = 29.98°, rel. 100.0
- 2θ = 41.57°, rel. 42.6
- 2θ = 44.12°, rel. 11.3
- 2θ = 44.26°, rel. 22.6
- 2θ = 50.54°, rel. 10.8
- 2θ = 52.13°, rel. 14.5
- 2θ = 68.70°, rel. 12.6


[4]
For Na4Ga2Bi5, DFT lattice parameters and positions (GGA-PBE) gives the computed powder XRD pattern in this record (Cu Ka).
Peak positions follow from Bragg's law for the DFT cell and can differ from measured ones.

Structure:
```
Na4Ga2Bi5
1.0
8.3646 0.0000 0.0000
0.0000 3.4841 0.0000
-0.4917 0.0000 10.6787
Na Ga Bi
4 2 5
direct
0.1559 0.0000 0.3943
0.2934 0.0000 0.9347
0.7066 0.0000 0.0653
0.8441 0.0000 0.6057
0.0499 0.5000 0.1151
0.9501 0.5000 0.8849
0.1821 0.5000 0.6832
0.3908 0.5000 0.1966
0.5000 0.5000 0.5000
0.6092 0.5000 0.8034
0.8179 0.5000 0.3168
```

The 10 most intense peaks (2θ = 5–70°), low angle first:
- 2θ = 22.49°, rel. 38.0
- 2θ = 23.22°, rel. 34.6
- 2θ = 25.57°, rel. 100.0
- 2θ = 27.70°, rel. 34.4
- 2θ = 32.82°, rel. 91.9
- 2θ = 33.83°, rel. 48.8
- 2θ = 34.80°, rel. 88.9
- 2θ = 42.09°, rel. 43.6
- 2θ = 42.88°, rel. 36.2
- 2θ = 43.68°, rel. 39.4